[1]
# Ca2FeSbO6
Computed PXRD pattern, Cu Kα (weighted mean of Kα1 and Kα2). Input: a cell relaxed with PBE+U.

The 6 most intense peaks (10° ≤ 2θ ≤ 90°), in order of falling intensity:
d 2.773, 2θ 32.28, rel. 100, (1 1 1)
d 3.924, 2θ 22.66, rel. 52, (1 1 -1)
d 1.964, 2θ 46.24, rel. 31, (2 2 -2)
d 2.812, 2θ 31.83, rel. 25, (0 2 0)
d 2.743, 2θ 32.64, rel. 23, (2 0 -2)
d 1.591, 2θ 57.96, rel. 18, (3 1 -1)

Cell: 5.4865 5.6234 9.5495 Å, 90.00 124.90 90.00°
Sites, in units of the cell vectors:
1 Ca 0.2371 0.0503 0.2494
2 Ca 0.2371 0.4497 0.7494
3 Ca 0.7629 0.5503 0.2506
4 Ca 0.7629 0.9497 0.7506
5 Fe 0.0000 0.0000 0.5000
6 Fe 0.0000 0.5000 0.0000
7 Sb 0.5000 0.0000 0.0000
8 Sb 0.5000 0.5000 0.5000
9 O 0.1571 0.2024 0.9525
10 O 0.1571 0.2976 0.4525
11 O 0.2515 0.7070 0.9510
12 O 0.2515 0.7930 0.4510
13 O 0.3444 0.0304 0.7521
14 O 0.3444 0.4696 0.2521
15 O 0.6556 0.5304 0.7479
16 O 0.6556 0.9696 0.2479
17 O 0.7485 0.2070 0.5490
18 O 0.7485 0.2930 0.0490
19 O 0.8429 0.7024 0.5475
20 O 0.8429 0.7976 0.0475

[2]
# ScMn2SbO6
Computed PXRD pattern, Cu Kα (weighted mean of Kα1 and Kα2). Input: a cell relaxed with PBE+U.

The 6 most intense peaks (10° ≤ 2θ ≤ 90°), in order of falling intensity:
d 2.589, 2θ 34.64, rel. 100, (-1 2 1)
d 4.425, 2θ 20.07, rel. 82, (1 1 0)
d 3.165, 2θ 28.20, rel. 78, (0 0 2)
d 4.512, 2θ 19.67, rel. 63, (1 -1 0)
d 1.989, 2θ 45.61, rel. 51, (0 1 3)
d 2.851, 2θ 31.37, rel. 50, (1 0 -2)

Cell: 6.3006 6.3275 6.3348 Å, 91.09 91.07 91.15°
Sites, in units of the cell vectors:
1 Sc 0.0000 0.0000 0.0000
2 Sc 0.3113 0.5075 0.1868
3 Mn 0.1167 0.1239 0.5033
4 Mn 0.4983 0.8153 0.6986
5 Mn 0.6202 0.3132 0.8010
6 Mn 0.8086 0.6184 0.3159
7 Sb 0.0588 0.5623 0.7487
8 Sb 0.5586 0.0624 0.2500
9 O 0.0263 0.6595 0.0564
10 O 0.1121 0.4744 0.4479
11 O 0.1441 0.8683 0.7204
12 O 0.2546 0.1426 0.1684
13 O 0.3584 0.5214 0.8517
14 O 0.4792 0.7597 0.3161
15 O 0.4812 0.1285 0.5470
16 O 0.6179 0.3672 0.1780
17 O 0.6491 0.9938 0.9525
18 O 0.7593 0.6041 0.6603
19 O 0.8634 0.9891 0.3128
20 O 0.9740 0.2611 0.8011

[3]
# CaMg6CoO8
Computed PXRD pattern, Cu Kα (weighted mean of Kα1 and Kα2). Input: a cell relaxed with PBE+U.

The 6 most intense peaks (10° ≤ 2θ ≤ 90°), in order of falling intensity:
d 2.173, 2θ 41.55, rel. 100, (2 0 0)
d 1.537, 2θ 60.22, rel. 57, (2 2 0)
d 2.509, 2θ 35.78, rel. 22, (1 1 2)
d 1.255, 2θ 75.82, rel. 17, (2 2 4)
d 8.695, 2θ 10.17, rel. 15, (0 0 1)
d 1.311, 2θ 72.07, rel. 12, (1 1 6)

Cell: 4.3460 4.3460 8.6948 Å, 90.00 90.00 90.00°
Sites, in units of the cell vectors:
1 Ca 0.0000 0.0000 0.0000
2 Mg 0.0000 0.0000 0.5000
3 Mg 0.0000 0.5000 0.2559
4 Mg 0.0000 0.5000 0.7441
5 Mg 0.5000 0.0000 0.2559
6 Mg 0.5000 0.0000 0.7441
7 Mg 0.5000 0.5000 0.5000
8 Co 0.5000 0.5000 0.0000
9 O 0.0000 0.0000 0.2641
10 O 0.0000 0.0000 0.7359
11 O 0.0000 0.5000 0.0000
12 O 0.0000 0.5000 0.5000
13 O 0.5000 0.0000 0.0000
14 O 0.5000 0.0000 0.5000
15 O 0.5000 0.5000 0.2536
16 O 0.5000 0.5000 0.7464

[4]
# SmCoO3
Computed PXRD pattern, Cu Kα (weighted mean of Kα1 and Kα2). Input: a cell relaxed with PBE+U.

The 6 most intense peaks (10° ≤ 2θ ≤ 90°), in order of falling intensity:
d 2.680, 2θ 33.44, rel. 100, (1 2 1)
d 1.535, 2θ 60.28, rel. 32, (0 4 2)
d 2.649, 2θ 33.84, rel. 25, (0 0 2)
d 1.904, 2θ 47.78, rel. 21, (2 0 2)
d 2.738, 2θ 32.70, rel. 20, (2 0 0)
d 1.682, 2θ 54.55, rel. 16, (3 1 1)

Cell: 5.4768 7.5433 5.2970 Å, 90.00 90.00 90.00°
Sites, in units of the cell vectors:
1 Sm 0.0591 0.2500 0.0149
2 Sm 0.4409 0.7500 0.5149
3 Sm 0.5591 0.2500 0.4851
4 Sm 0.9409 0.7500 0.9851
5 Co 0.0000 0.0000 0.5000
6 Co 0.0000 0.5000 0.5000
7 Co 0.5000 0.0000 0.0000
8 Co 0.5000 0.5000 0.0000
9 O 0.0195 0.7500 0.4126
10 O 0.2068 0.5457 0.7962
11 O 0.2068 0.9543 0.7962
12 O 0.2932 0.0457 0.2962
13 O 0.2932 0.4543 0.2962
14 O 0.4805 0.2500 0.9126
15 O 0.5195 0.7500 0.0874
16 O 0.7068 0.5457 0.7038
17 O 0.7068 0.9543 0.7038
18 O 0.7932 0.0457 0.2038
19 O 0.7932 0.4543 0.2038
20 O 0.9805 0.2500 0.5874